(1)
Simulated PXRD pattern of RbNaOs2Pd for Cu Kα, from a DFT-relaxed cell (GGA-PBE, Alexandria).
Peak positions follow from Bragg's law for the DFT cell and can differ from measured ones.

Top 12 peaks for 15 to 90 degrees two-theta, sorted by position:
2θ/deg  d_spacing  Rel. int.
18.31  4.844  22
30.12  2.967  100
37.12  2.422  44
40.21  2.243  33
48.51  1.877  41
53.49  1.713  28
55.87  1.646  11
60.41  1.532  10
62.62  1.483  39
75.06  1.265  11
79.06  1.211  13
86.85  1.121  22

Crystal structure
Unit cell a=4.8440 b=4.8440 c=5.9365 alpha=90.00 beta=90.00 gamma=90.00
Fractional coordinates of all 5 atoms:
Rb: 0.0000 0.0000 0.0000
Na: 0.5000 0.5000 0.0000
Os: 0.0000 0.5000 0.5000
Os: 0.5000 0.0000 0.5000
Pd: 0.0000 0.0000 0.5000



(2)
Simulated PXRD pattern of As8S9 for Cu Kα, from a DFT-relaxed cell (GGA-PBE, Alexandria).
Peak positions follow from Bragg's law for the DFT cell and can differ from measured ones.

Top 12 peaks for 15 to 90 degrees two-theta, sorted by position:
2θ/deg  d_spacing  Rel. int.
16.19  5.473  100
16.70  5.308  47
21.06  4.219  47
25.64  3.474  70
26.62  3.349  56
27.01  3.301  73
28.67  3.113  98
29.54  3.024  32
30.60  2.922  27
38.62  2.331  38
50.83  1.796  28
51.47  1.775  33

Crystal structure
Unit cell a=10.8097 b=10.3589 c=9.5398 alpha=90.00 beta=100.88 gamma=90.00
Fractional coordinates of all 34 atoms:
As: 0.0209 0.2342 0.4375
As: 0.0209 0.7658 0.9375
As: 0.1567 0.4152 0.3433
As: 0.1567 0.5848 0.8433
As: 0.3855 0.0344 0.6792
As: 0.3855 0.9656 0.1792
As: 0.4367 0.3102 0.9284
As: 0.4367 0.6898 0.4284
As: 0.5633 0.3102 0.5716
As: 0.5633 0.6898 0.0716
As: 0.6145 0.0344 0.8208
As: 0.6145 0.9656 0.3208
As: 0.8433 0.4152 0.1567
As: 0.8433 0.5848 0.6567
As: 0.9791 0.2342 0.0625
As: 0.9791 0.7658 0.5625
S: 0.0000 0.0978 0.2500
S: 0.0000 0.4477 0.7500
S: 0.0000 0.5523 0.2500
S: 0.0000 0.9022 0.7500
S: 0.1708 0.3252 0.1313
S: 0.1708 0.6748 0.6313
S: 0.2932 0.1638 0.8205
S: 0.2932 0.8362 0.3205
S: 0.4056 0.1662 0.4938
S: 0.4056 0.8338 0.9938
S: 0.5000 0.4250 0.7500
S: 0.5000 0.5750 0.2500
S: 0.5944 0.1662 0.0062
S: 0.5944 0.8338 0.5062
S: 0.7068 0.1638 0.6795
S: 0.7068 0.8362 0.1795
S: 0.8292 0.3252 0.3687
S: 0.8292 0.6748 0.8687



(3)
Simulated PXRD pattern of PaTaSi2Os for Cu Kα, from a DFT-relaxed cell (GGA-PBE, Alexandria).
Peak positions follow from Bragg's law for the DFT cell and can differ from measured ones.

Top 12 peaks for 15 to 90 degrees two-theta, sorted by position:
2θ/deg  d_spacing  Rel. int.
23.60  3.770  25
32.78  2.732  25
33.20  2.698  21
35.63  2.520  100
45.15  2.008  30
47.35  1.920  10
56.91  1.618  21
60.37  1.533  19
65.77  1.420  10
75.45  1.260  9
77.10  1.237  22
86.08  1.130  9

Crystal structure
Unit cell a=6.1586 b=6.1586 c=6.1586 alpha=141.94 beta=141.94 gamma=54.92
Fractional coordinates of all 5 atoms:
Pa: 0.0000 0.0000 0.0000
Ta: 0.2500 0.7500 0.5000
Si: 0.3930 0.3930 0.0000
Si: 0.6070 0.6070 0.0000
Os: 0.7500 0.2500 0.5000



(4)
Simulated PXRD pattern of Y8Hg2Ir for Cu Kα, from a DFT-relaxed cell (GGA-PBE, Alexandria).
Peak positions follow from Bragg's law for the DFT cell and can differ from measured ones.

Top 12 peaks for 15 to 90 degrees two-theta, sorted by position:
2θ/deg  d_spacing  Rel. int.
19.22  4.617  26
21.44  4.144  37
23.11  3.849  26
30.94  2.890  22
31.29  2.859  100
33.87  2.646  58
34.42  2.606  68
36.33  2.473  47
39.42  2.286  30
43.34  2.088  25
60.71  1.526  23
67.42  1.389  24

Crystal structure
Unit cell a=9.3094 b=9.3094 c=6.8688 alpha=105.98 beta=105.98 gamma=32.51
Fractional coordinates of all 11 atoms:
Y: 0.0239 0.0239 0.2869
Y: 0.2016 0.2016 0.8124
Y: 0.3454 0.3454 0.5357
Y: 0.4120 0.4120 0.0690
Y: 0.5880 0.5880 0.9310
Y: 0.6546 0.6546 0.4643
Y: 0.7984 0.7984 0.1876
Y: 0.9761 0.9761 0.7131
Hg: 0.1854 0.1854 0.2271
Hg: 0.8146 0.8146 0.7729
Ir: 0.5000 0.5000 0.5000